For TmZr2Cd6, the GGA-PBE geometry in Alexandria gives the calculated powder X-ray diffraction pattern in this record (Cu Kα, 1.54184 Å).

Principal peaks in the range 10° ≤ 2θ ≤ 90°, by angle:
| Position (°2θ) | I (rel.) |
| --- | --- |
| 22.2 | 3 |
| 28.1 | 7 |
| 35.2 | 97 |
| 36.5 | 100 |
| 46.7 | 10 |
| 51.6 | 32 |
| 58.0 | 8 |
| 64.8 | 31 |
| 65.7 | 17 |
| 70.5 | 26 |
| 77.5 | 10 |
| 88.1 | 14 |

Atomic structure:
```
data_TmZr2Cd6
_chemical_formula_sum 'Tm3 Zr6 Cd18'
_cell_length_a 8.5323
_cell_length_b 8.5323
_cell_length_c 9.5344
_cell_angle_alpha 90.00
_cell_angle_beta 90.00
_cell_angle_gamma 120.00
_symmetry_space_group_name_H-M 'R -3 m'
_symmetry_Int_Tables_number 166
_symmetry_space_group_name_Hall '-R 3 2"'
loop_
_atom_site_label
_atom_site_fract_x
_atom_site_fract_y
_atom_site_fract_z
_atom_site_occupancy
Tm1 0.0000 0.0000 0.0000 1
Zr1 0.0000 0.0000 0.3465 1
Cd1 0.9995 0.3329 0.1667 1
```